Entry 1:
Diffraction record for Cr3HO8. The PXRD pattern is computed, not measured: it uses a structure optimized by DFT (PBE+U) and Cu Kα.
Intensities are scaled so that the largest is 100.

Principal peaks in the range 10 to 80 degrees two-theta, low angle first:
12.94 deg, I = 100, hkl 0 0 2
13.20 deg, I = 78, hkl 1 0 -1
15.41 deg, I = 41, hkl 1 0 1
19.47 deg, I = 78, hkl 0 0 3
19.91 deg, I = 80, hkl 1 0 2
26.59 deg, I = 46, hkl 2 0 -2
26.86 deg, I = 90, hkl 1 1 0
28.81 deg, I = 71, hkl 1 1 -2

Cell: 7.0447 3.7829 13.9309 Å, 90.00 100.91 90.00°
Sites, in units of the cell vectors:
Cr: 0.0302 0.2500 0.3595
Cr: 0.2577 0.2500 0.5859
Cr: 0.3432 0.2500 0.0265
Cr: 0.6568 0.7500 0.9735
Cr: 0.7423 0.7500 0.4141
Cr: 0.9698 0.7500 0.6405
H: 0.1588 0.2500 0.1967
H: 0.8412 0.7500 0.8033
O: 0.0302 0.2500 0.6349
O: 0.0491 0.2500 0.2367
O: 0.1433 0.2500 0.9515
O: 0.1996 0.7500 0.5929
O: 0.2415 0.2500 0.4551
O: 0.3140 0.2500 0.1406
O: 0.4137 0.7500 0.0173
O: 0.4673 0.2500 0.6524
O: 0.5327 0.7500 0.3476
O: 0.5863 0.2500 0.9827
O: 0.6860 0.7500 0.8594
O: 0.7585 0.7500 0.5449
O: 0.8004 0.2500 0.4071
O: 0.8567 0.7500 0.0485
O: 0.9509 0.7500 0.7633
O: 0.9698 0.7500 0.3651

---

Entry 2:
Diffraction record for CrH5O4. The PXRD pattern is computed, not measured: it uses a structure optimized by DFT (PBE+U) and Cu Kα.
Intensities are scaled so that the largest is 100.

Principal peaks in the range 10 to 80 degrees two-theta, low angle first:
15.42 deg, I = 100, hkl 0 0 1
20.76 deg, I = 30, hkl 1 0 0
28.36 deg, I = 13, hkl 1 0 1
28.87 deg, I = 14, hkl 0 1 0
33.98 deg, I = 29, hkl 1 0 -2
35.82 deg, I = 26, hkl 1 1 0
40.91 deg, I = 40, hkl 1 1 1
56.52 deg, I = 11, hkl 0 1 3

Cell: 4.3655 3.0929 5.8611 Å, 90.00 101.39 90.00°
Sites, in units of the cell vectors:
Cr: 0.0000 0.0000 0.0000
H: 0.4172 0.2408 0.7577
H: 0.4172 0.7592 0.7577
H: 0.4733 0.5000 0.0686
H: 0.6297 0.0000 0.3296
H: 0.9944 0.0000 0.4614
O: 0.2501 0.0000 0.7237
O: 0.2810 0.5000 0.1385
O: 0.7201 0.5000 0.8719
O: 0.8461 0.0000 0.3089